# Cs3TeH2
Theoretical X-ray diffraction stick pattern, CuKα. Input: DFT lattice parameters and positions (PBE).
Neutral-atom scattering factors, no anomalous dispersion.

Main lines, most intense first (2θ from 15° to 90°):
two_theta, Rel. int., index
23.8, 100, 3 1 1
23.6, 68, 3 1 -1
27.1, 67, 5 1 1
30.3, 67, 0 2 0
26.8, 66, 5 1 -1
31.2, 51, 0 0 2
25.6, 45, 8 0 0
44.1, 39, 0 2 2
51.4, 30, 3 1 3
40.1, 27, 8 2 0

```
data_Cs3TeH2
_cell_length_a 27.791
_cell_length_b 5.900
_cell_length_c 5.732
_cell_angle_alpha 90.00
_cell_angle_beta 91.14
_cell_angle_gamma 90.00
_space_group_name_H-M_alt 'C 1 2/m 1'
_space_group_IT_number 12
loop_
_space_group_symop_operation_xyz
'x,y,z'
'-x,-y,-z'
'-x,y,-z'
'x,-y,z'
'x+1/2,y+1/2,z'
'-x+1/2,-y+1/2,-z'
'-x+1/2,y+1/2,-z'
'x+1/2,-y+1/2,z'
loop_
_atom_site_label
_atom_site_type_symbol
_atom_site_fract_x
_atom_site_fract_y
_atom_site_fract_z
_atom_site_occupancy
Cs1 Cs 0.071 0.000 0.261 1
Cs2 Cs 0.072 0.500 0.758 1
Cs3 Cs 0.202 0.500 0.261 1
Te1 Te 0.162 0.000 0.777 1
H1 H 0.042 0.500 0.256 1
H2 H 0.169 0.000 0.164 1
```

---

# Cs2TiH4
Theoretical X-ray diffraction stick pattern, CuKα. Input: DFT lattice parameters and positions (PBE).
Neutral-atom scattering factors, no anomalous dispersion.

Main lines, most intense first (2θ from 15° to 90°):
two_theta, Rel. int., index
27.6, 100, 1 0 3
30.6, 42, 1 1 0
52.7, 32, 2 1 3
22.3, 19, 1 0 1
46.9, 18, 1 1 6
43.9, 15, 2 0 0
38.6, 12, 1 1 4
34.6, 11, 0 0 6
22.9, 11, 0 0 4
57.1, 10, 2 0 6

```
data_Cs2TiH4
_cell_length_a 4.126
_cell_length_b 4.126
_cell_length_c 15.543
_cell_angle_alpha 90.00
_cell_angle_beta 90.00
_cell_angle_gamma 90.00
_space_group_name_H-M_alt 'I 4/m m m'
_space_group_IT_number 139
_space_group_name_Hall '-I 4 2'
loop_
_atom_site_label
_atom_site_type_symbol
_atom_site_fract_x
_atom_site_fract_y
_atom_site_fract_z
_atom_site_occupancy
Cs1 Cs 0.000 0.000 0.151 1
Ti1 Ti 0.000 0.000 0.500 1
H1 H 0.000 0.000 0.375 1
H2 H 0.000 0.500 0.000 1
```

---

# Cs2TlH
Theoretical X-ray diffraction stick pattern, CuKα. Input: DFT lattice parameters and positions (PBE).
Neutral-atom scattering factors, no anomalous dispersion.

Main lines, most intense first (2θ from 15° to 90°):
two_theta, Rel. int., index
24.5, 100, 1 0 1
32.4, 51, 0 1 8
23.6, 49, 0 0 9
49.6, 40, 1 1 9
25.0, 36, 0 1 2
36.1, 36, 1 0 10
42.9, 30, 1 1 0
30.7, 22, 1 0 7
57.4, 19, 0 2 10
66.6, 17, 1 1 18

```
data_Cs2TlH
_cell_length_a 4.2117
_cell_length_b 4.2117
_cell_length_c 33.9479
_cell_angle_alpha 90.00
_cell_angle_beta 90.00
_cell_angle_gamma 120.00
_space_group_name_H-M_alt 'R -3 m'
_space_group_IT_number 166
_space_group_name_Hall '-R 3 2"'
loop_
_atom_site_label
_atom_site_type_symbol
_atom_site_fract_x
_atom_site_fract_y
_atom_site_fract_z
_atom_site_occupancy
Cs1 Cs 0.0000 0.0000 0.1117 1
Tl1 Tl 0.0000 0.0000 0.0000 1
H1 H 0.0000 0.0000 0.5000 1
```

---

# Cs2TlH6
Theoretical X-ray diffraction stick pattern, CuKα. Input: DFT lattice parameters and positions (PBE).
Neutral-atom scattering factors, no anomalous dispersion.

Main lines, most intense first (2θ from 15° to 90°):
two_theta, Rel. int., index
24.5, 100, 1 1 1
21.6, 97, 0 2 0
27.0, 82, 3 1 0
26.1, 53, 2 0 -1
34.1, 52, 2 2 -1
26.2, 51, 2 0 1
34.2, 50, 2 2 1
41.3, 46, 0 0 2
51.9, 31, 2 4 -1
39.6, 30, 1 3 1

```
data_Cs2TlH6
_cell_length_a 10.837
_cell_length_b 8.232
_cell_length_c 4.378
_cell_angle_alpha 90.00
_cell_angle_beta 90.27
_cell_angle_gamma 90.00
_space_group_name_H-M_alt 'C 1 m 1'
_space_group_IT_number 8
loop_
_space_group_symop_operation_xyz
'x,y,z'
'x,-y,z'
'x+1/2,y+1/2,z'
'x+1/2,-y+1/2,z'
loop_
_atom_site_label
_atom_site_type_symbol
_atom_site_fract_x
_atom_site_fract_y
_atom_site_fract_z
_atom_site_occupancy
Cs1 Cs 0.000 0.000 0.000 1
Cs2 Cs 0.091 0.500 0.005 1
Tl1 Tl 0.281 0.000 0.504 1
H1 H 0.134 0.183 0.503 1
H2 H 0.276 0.320 0.499 1
H3 H 0.331 0.378 0.497 1
```

---

# CsTlH2
Theoretical X-ray diffraction stick pattern, CuKα. Input: DFT lattice parameters and positions (PBE).
Neutral-atom scattering factors, no anomalous dispersion.

Main lines, most intense first (2θ from 15° to 90°):
two_theta, Rel. int., index
27.1, 100, 1 0 3
24.8, 94, 0 1 2
30.1, 61, 1 0 4
29.4, 42, 0 0 6
22.7, 32, 1 0 0
40.2, 32, 1 1 1
23.3, 25, 0 1 1
50.8, 25, 0 1 9
46.7, 23, 2 0 1
47.4, 20, 1 1 5

```
data_CsTlH2
_cell_length_a 4.5155
_cell_length_b 4.5155
_cell_length_c 18.2107
_cell_angle_alpha 90.00
_cell_angle_beta 90.00
_cell_angle_gamma 120.00
_space_group_name_H-M_alt 'P 31 2 1'
_space_group_IT_number 152
loop_
_space_group_symop_operation_xyz
'x,y,z'
'-y,x-y,z+1/3'
'-x+y,-x,z+2/3'
'y,x,-z'
'x-y,-y,-z+2/3'
'-x,-x+y,-z+1/3'
loop_
_atom_site_label
_atom_site_type_symbol
_atom_site_fract_x
_atom_site_fract_y
_atom_site_fract_z
_atom_site_occupancy
Cs1 Cs 0.0000 0.4199 0.1667 1
Tl1 Tl 0.0000 0.1380 0.6667 1
H1 H 0.0564 0.3077 0.9279 1
```